Entry 1:
For ZrZn13, a structure optimized by DFT (GGA-PBE) gives the computed powder XRD pattern in this record (a wavelength of 1.5418 Å).
No peak broadening, texture or thermal motion is included.

Atomic structure:
Cell lengths 12.0269, 12.0269, 12.0269 Å; angles 90.00, 90.00, 90.00 degrees
Space group Fm-3c (No. 226)
Symmetry-distinct sites (fractional):
Zr 0.2500 0.2500 0.2500 [8 per cell]
Zn 0.0000 0.0000 0.0000 [8 per cell]
Zn 0.0000 0.1214 0.1801 [96 per cell]

Top 10 peaks for 5° ≤ 2θ ≤ 70°, by intensity:
two_theta	d (Å)	intensity	index
44.57	2.033	1000	5 3 1
36.60	2.455	705	4 2 2
45.24	2.004	342	6 0 0
33.32	2.689	278	4 2 0
14.73	6.013	126	2 0 0
47.83	1.902	118	6 2 0
63.82	1.458	95	6 4 4
55.06	1.668	78	6 4 0
57.33	1.607	74	6 4 2
52.73	1.736	73	4 4 4

Entry 2:
For Ba4TeN12, a structure optimized by DFT (GGA-PBE) gives the computed powder XRD pattern in this record (a wavelength of 1.5418 Å).
No peak broadening, texture or thermal motion is included.

Atomic structure:
Cell lengths 11.8295, 11.8295, 8.7319 Å; angles 90.00, 90.00, 120.00 degrees
Space group R-3 (No. 148, hexagonal axes)
Symmetry-distinct sites (fractional):
Ba 0.0000 0.0000 0.0000 [3 per cell]
Ba 0.0000 0.5000 0.0000 [9 per cell]
Te 0.0000 0.0000 0.5000 [3 per cell]
N 0.0265 0.7712 0.9131 [18 per cell]
N 0.0515 0.6023 0.7057 [18 per cell]

Top 10 peaks for 5° ≤ 2θ ≤ 70°, by intensity:
two_theta	d (Å)	intensity	index
26.83	3.323	1000	2 0 2
30.22	2.957	822	2 2 0
20.10	4.418	645	0 2 1
40.85	2.209	442	0 4 2
51.64	1.770	372	4 2 2
36.56	2.458	303	4 0 1
45.15	2.008	294	0 2 4
43.63	2.074	244	4 -2 3
64.31	1.448	194	2 4 4
25.16	3.540	189	3 -1 1

Entry 3:
For NdGa2GePd, a structure optimized by DFT (GGA-PBE) gives the computed powder XRD pattern in this record (a wavelength of 1.5418 Å).
No peak broadening, texture or thermal motion is included.

Atomic structure:
Cell lengths 4.1693, 4.2712, 10.8583 Å; angles 90.00, 90.00, 90.00 degrees
Space group Imm2 (No. 44)
Symmetry-distinct sites (fractional):
Nd 0.0000 0.0000 0.0000 [2 per cell]
Ga 0.0000 0.0000 0.3826 [2 per cell]
Ga 0.0000 0.5000 0.2546 [2 per cell]
Ge 0.0000 0.0000 0.6121 [2 per cell]
Pd 0.0000 0.5000 0.7453 [2 per cell]

Top 10 peaks for 5° ≤ 2θ ≤ 70°, by intensity:
two_theta	d (Å)	intensity	index
34.30	2.615	1000	1 1 2
32.77	2.733	285	1 0 3
42.32	2.136	263	0 2 0
43.41	2.085	245	2 0 0
32.42	2.761	226	0 1 3
62.23	1.492	164	2 2 0
46.94	1.936	160	0 1 5
54.53	1.683	132	1 2 3
45.16	2.008	124	1 1 4
59.77	1.547	119	1 1 6

Entry 4:
For Pm5Ag4Os, a structure optimized by DFT (GGA-PBE) gives the computed powder XRD pattern in this record (a wavelength of 1.5418 Å).
No peak broadening, texture or thermal motion is included.

Atomic structure:
Cell lengths 3.5949, 3.5949, 19.2765 Å; angles 90.00, 90.00, 90.00 degrees
Space group P4/mmm (No. 123)
Symmetry-distinct sites (fractional):
Pm 0.0000 0.0000 0.0000 [1 per cell]
Pm 0.0000 0.0000 0.2034 [2 per cell]
Pm 0.0000 0.0000 0.4118 [2 per cell]
Ag 0.5000 0.5000 0.1015 [2 per cell]
Ag 0.5000 0.5000 0.3038 [2 per cell]
Os 0.5000 0.5000 0.5000 [1 per cell]

Top 10 peaks for 5° ≤ 2θ ≤ 70°, by intensity:
two_theta	d (Å)	intensity	index
34.10	2.629	1000	1 0 5
35.31	2.542	471	1 1 0
62.60	1.484	339	2 1 5
60.25	1.536	171	1 1 10
50.80	1.797	165	2 0 0
47.15	1.928	90	0 0 10
9.18	9.638	33	0 0 2
13.78	6.426	18	0 0 3
37.55	2.396	17	1 0 6
41.30	2.186	12	1 0 7

Entry 5:
For Pr2Zn7Au12, a structure optimized by DFT (GGA-PBE) gives the computed powder XRD pattern in this record (a wavelength of 1.5418 Å).
No peak broadening, texture or thermal motion is included.

Atomic structure:
Cell lengths 10.3265, 10.3265, 4.3319 Å; angles 90.00, 90.00, 120.00 degrees
Space group P-6 (No. 174)
Symmetry-distinct sites (fractional):
Pr 0.0000 0.0000 0.0000 [1 per cell]
Pr 0.3333 0.6667 0.5000 [1 per cell]
Zn 0.0282 0.4781 0.0000 [3 per cell]
Zn 0.2696 0.2652 0.5000 [3 per cell]
Zn 0.6667 0.3333 0.0000 [1 per cell]
Au 0.0122 0.2526 0.5000 [3 per cell]
Au 0.1699 0.7708 0.0000 [3 per cell]
Au 0.3718 0.1988 0.0000 [3 per cell]
Au 0.5681 0.1361 0.5000 [3 per cell]

Top 10 peaks for 5° ≤ 2θ ≤ 70°, by intensity:
two_theta	d (Å)	intensity	index
33.63	2.665	1000	2 1 1
40.68	2.218	368	2 2 1
41.70	2.166	299	0 0 2
41.97	2.152	248	1 3 1
44.14	2.052	162	3 2 0
62.33	1.490	127	3 2 2
36.22	2.480	126	1 3 0
34.75	2.582	109	2 2 0
9.89	8.943	86	1 0 0
26.37	3.380	85	2 1 0

Entry 6:
For TcOsPtRh, a structure optimized by DFT (GGA-PBE) gives the computed powder XRD pattern in this record (a wavelength of 1.5418 Å).
No peak broadening, texture or thermal motion is included.

Atomic structure:
Cell lengths 2.6766, 4.2524, 5.3400 Å; angles 90.00, 104.39, 90.00 degrees
Space group Pm (No. 6)
Symmetry-distinct sites (fractional):
Tc 0.0000 0.0000 0.0000 [1 per cell]
Os 0.6474 0.5000 0.2908 [1 per cell]
Pt 0.2551 0.0000 0.5081 [1 per cell]
Rh 0.3981 0.5000 0.7941 [1 per cell]

Top 10 peaks for 5° ≤ 2θ ≤ 70°, by intensity:
two_theta	d (Å)	intensity	index
40.81	2.211	1000	0 1 2
42.52	2.126	235	0 2 0
42.77	2.114	180	1 0 1
61.89	1.499	121	1 2 1
48.06	1.893	109	1 1 1
17.14	5.173	103	0 0 1
34.64	2.590	75	1 0 -1
27.15	3.285	57	0 1 1
56.26	1.635	54	1 0 -3
56.13	1.639	54	1 0 2